For HSe, a structure optimized by DFT (PBE) gives the simulated X-ray diffraction stick pattern in this record (copper Kα).
No peak broadening, texture or thermal motion is included.

Top 10 peaks for 5° ≤ 2θ ≤ 70°, by angle:
hkl	2θ (°)	intensity
0 0 2	19.84	73.9
0 1 1	23.36	100.0
3 0 1	35.62	36.8
0 1 3	36.94	21.9
3 1 0	40.49	23.4
3 1 2	45.48	28.7
3 0 3	46.04	12.6
0 2 2	47.78	9.8
3 2 1	57.03	12.6
3 1 4	58.46	7.9

Crystal structure
```
data_HSe
_chemical_formula_sum 'H6 Se6'
_cell_length_a 7.8797
_cell_length_b 4.2070
_cell_length_c 8.9490
_cell_angle_alpha 90.00
_cell_angle_beta 90.00
_cell_angle_gamma 90.00
_space_group_name_H-M_alt 'P m n 21'
_space_group_IT_number 31
loop_
_space_group_symop_operation_xyz
'x,y,z'
'-x+1/2,-y,z+1/2'
'-x,y,z'
'x+1/2,-y,z+1/2'
loop_
_atom_site_label
_atom_site_fract_x
_atom_site_fract_y
_atom_site_fract_z
_atom_site_occupancy
H1 0.0000 0.1173 0.0000 1
H2 0.1832 0.8991 0.7237 1
Se1 0.0000 0.7980 0.0725 1
Se2 0.1765 0.2055 0.6407 1
```


For YThGeTe, a structure optimized by DFT (PBE) gives the simulated X-ray diffraction stick pattern in this record (copper Kα).
No peak broadening, texture or thermal motion is included.

Top 10 peaks for 5° ≤ 2θ ≤ 70°, by angle:
hkl	2θ (°)	intensity
0 0 3	12.31	12.6
1 0 1	24.18	13.9
1 0 4	29.08	100.0
0 1 5	31.69	13.3
0 1 8	41.30	34.3
1 1 0	41.89	38.9
0 2 4	51.81	20.1
2 0 8	60.28	11.2
1 1 12	67.88	12.7
2 1 4	68.73	17.2

Crystal structure
```
data_YThGeTe
_chemical_formula_sum 'Y3 Th3 Ge3 Te3'
_cell_length_a 4.3131
_cell_length_b 4.3131
_cell_length_c 21.5690
_cell_angle_alpha 90.00
_cell_angle_beta 90.00
_cell_angle_gamma 120.00
_space_group_name_H-M_alt 'R 3 m'
_space_group_IT_number 160
_space_group_name_Hall 'R 3 -2"'
loop_
_atom_site_label
_atom_site_fract_x
_atom_site_fract_y
_atom_site_fract_z
_atom_site_occupancy
Y1 0.0000 0.0000 0.0000 1
Th1 0.0000 0.0000 0.4791 1
Ge1 0.0000 0.0000 0.7375 1
Te1 0.0000 0.0000 0.2424 1
```


For AgAs2Pd7, a structure optimized by DFT (PBE) gives the simulated X-ray diffraction stick pattern in this record (copper Kα).
No peak broadening, texture or thermal motion is included.

Top 10 peaks for 5° ≤ 2θ ≤ 70°, by angle:
hkl	2θ (°)	intensity
1 0 3	25.60	10.5
1 1 0	31.11	9.4
1 1 2	32.38	11.1
0 0 8	35.58	10.0
1 1 4	35.96	14.7
1 1 6	41.31	100.0
2 0 0	44.58	48.1
0 0 12	54.56	6.1
2 0 8	58.30	9.2
2 2 0	64.88	15.3

Crystal structure
```
data_AgAs2Pd7
_chemical_formula_sum 'Ag2 As4 Pd14'
_cell_length_a 4.0651
_cell_length_b 4.0651
_cell_length_c 20.1834
_cell_angle_alpha 90.00
_cell_angle_beta 90.00
_cell_angle_gamma 90.00
_space_group_name_H-M_alt 'I 4/m m m'
_space_group_IT_number 139
_space_group_name_Hall '-I 4 2'
loop_
_atom_site_label
_atom_site_fract_x
_atom_site_fract_y
_atom_site_fract_z
_atom_site_occupancy
Ag1 0.0000 0.0000 0.0000 1
As1 0.0000 0.0000 0.3292 1
Pd1 0.0000 0.0000 0.5000 1
Pd2 0.0000 0.5000 0.1005 1
Pd3 0.0000 0.5000 0.2500 1
```


For TbIn3, a structure optimized by DFT (PBE) gives the simulated X-ray diffraction stick pattern in this record (copper Kα).
No peak broadening, texture or thermal motion is included.

Top 9 peaks for 5° ≤ 2θ ≤ 70°, by angle:
hkl	2θ (°)	intensity
1 0 0	19.11	1.8
1 1 0	27.15	1.6
1 1 1	33.41	100.0
2 0 0	38.77	49.8
2 1 0	43.57	1.0
2 1 1	47.97	0.7
2 2 0	55.99	33.4
3 0 0	59.72	0.5
3 1 1	66.79	38.8

Crystal structure
```
data_TbIn3
_chemical_formula_sum 'Tb1 In3'
_cell_length_a 4.6453
_cell_length_b 4.6453
_cell_length_c 4.6453
_cell_angle_alpha 90.00
_cell_angle_beta 90.00
_cell_angle_gamma 90.00
_space_group_name_H-M_alt 'P m -3 m'
_space_group_IT_number 221
_space_group_name_Hall '-P 4 2 3'
loop_
_atom_site_label
_atom_site_fract_x
_atom_site_fract_y
_atom_site_fract_z
_atom_site_occupancy
Tb1 0.0000 0.0000 0.0000 1
In1 0.0000 0.5000 0.5000 1
```